Entry 1:
This entry pairs a crystal structure of Ag5IO6 with its simulated powder XRD pattern. Radiation: copper Kα. Structure: a structure optimized by DFT (PBE).
Kinematic intensities with the Lorentz-polarization factor, no thermal factor.

Structure:
```
data_Ag5IO6
_chemical_formula_sum 'Ag30 I6 O36'
_space_group_name_H-M_alt 'R -3 c'
_space_group_IT_number 167
_space_group_name_Hall '-R 3 2"c'
_cell_length_a 6.0198
_cell_length_b 6.0198
_cell_length_c 32.8332
_cell_angle_alpha 90.00
_cell_angle_beta 90.00
_cell_angle_gamma 120.00
loop_
_atom_site_label
_atom_site_type_symbol
_atom_site_fract_x
_atom_site_fract_y
_atom_site_fract_z
Ag1 Ag 0.0000 0.0000 0.1499
Ag2 Ag 0.0000 0.2953 0.2500
I1 I 0.0000 0.0000 0.0000
O1 O 0.0470 0.4304 0.1330
```

Largest 10 diffraction maxima, sorted by position, 2θ from 15° to 90°:
| index | 2θ/deg | d/Å | I (rel.) |
| --- | --- | --- | --- |
| 0 1 8 | 27.66 | 3.225 | 22.2 |
| 1 1 3 | 30.81 | 2.902 | 35.8 |
| 0 0 12 | 32.73 | 2.736 | 17.9 |
| 1 1 6 | 33.99 | 2.637 | 100.0 |
| 1 1 9 | 38.79 | 2.322 | 37.8 |
| 2 0 14 | 52.49 | 1.743 | 12.1 |
| 3 0 0 | 52.67 | 1.738 | 29.0 |
| 1 2 14 | 61.46 | 1.509 | 11.0 |
| 3 0 12 | 63.41 | 1.467 | 15.4 |
| 2 2 6 | 64.18 | 1.451 | 14.4 |

Entry 2:
This entry pairs a crystal structure of AgPdI3O9 with its simulated powder XRD pattern. Radiation: copper Kα. Structure: a structure optimized by DFT (PBE).
Kinematic intensities with the Lorentz-polarization factor, no thermal factor.

Structure:
```
data_AgPdI3O9
_chemical_formula_sum 'Ag2 Pd2 I6 O18'
_space_group_name_H-M_alt 'P -1'
_space_group_IT_number 2
_cell_length_a 7.4734
_cell_length_b 8.1967
_cell_length_c 8.7874
_cell_angle_alpha 62.87
_cell_angle_beta 76.42
_cell_angle_gamma 82.23
loop_
_space_group_symop_operation_xyz
'x,y,z'
'-x,-y,-z'
loop_
_atom_site_label
_atom_site_type_symbol
_atom_site_fract_x
_atom_site_fract_y
_atom_site_fract_z
Ag1 Ag 0.1818 0.3259 0.3386
Pd1 Pd 0.5000 0.5000 0.0000
Pd2 Pd 0.5000 0.5000 0.5000
I1 I 0.1943 0.7835 0.2857
I2 I 0.2211 0.2940 0.8974
I3 I 0.2487 0.8546 0.7330
O1 O 0.0312 0.7328 0.8144
O2 O 0.0508 0.1766 0.6370
O3 O 0.1699 0.6636 0.1592
O4 O 0.1843 0.0517 0.9923
O5 O 0.2284 0.5670 0.4867
O6 O 0.2847 0.9402 0.4990
O7 O 0.3603 0.2773 0.0572
O8 O 0.4092 0.6421 0.7702
O9 O 0.4217 0.2781 0.7282
```

Largest 10 diffraction maxima, sorted by position, 2θ from 15° to 90°:
| index | 2θ/deg | d/Å | I (rel.) |
| --- | --- | --- | --- |
| 0 2 0 | 24.42 | 3.645 | 29.0 |
| 2 0 0 | 24.54 | 3.627 | 63.5 |
| 1 2 2 | 25.61 | 3.479 | 100.0 |
| -1 1 2 | 26.69 | 3.340 | 66.4 |
| 1 -2 0 | 27.74 | 3.216 | 86.6 |
| 1 0 -2 | 28.35 | 3.149 | 74.9 |
| 2 0 2 | 30.41 | 2.940 | 56.1 |
| 1 3 2 | 34.02 | 2.636 | 27.2 |
| 2 2 0 | 34.29 | 2.615 | 33.2 |
| 1 1 4 | 42.14 | 2.145 | 30.0 |